Record 1
Theoretical powder X-ray diffraction pattern of PrFeCoGe2 for Cu Kα (λ = 1.5418 Å), from a cell relaxed with GGA-PBE.
Lines closer than 0.1° are merged.

Crystal structure
Cell lengths 5.8569, 5.8569, 5.8569 Å; angles 139.31, 139.31, 58.90 degrees
Element x y z (fractional)
Pr  0.0000  0.0000  0.0000
Fe  0.2500  0.7500  0.5000
Co  0.7500  0.2500  0.5000
Ge  0.3646  0.3646  0.0000
Ge  0.6354  0.6354  0.0000

Top 10 peaks for 10° ≤ 2θ ≤ 90°, by angle:
| 2θ/deg | d/Å | I (rel.) |
| --- | --- | --- |
| 31.1 | 2.880 | 27 |
| 34.4 | 2.610 | 100 |
| 35.8 | 2.507 | 74 |
| 44.5 | 2.036 | 58 |
| 50.0 | 1.824 | 21 |
| 57.4 | 1.605 | 45 |
| 63.6 | 1.464 | 23 |
| 64.7 | 1.440 | 18 |
| 69.1 | 1.359 | 16 |
| 76.3 | 1.249 | 15 |

Record 2
Theoretical powder X-ray diffraction pattern of HfPa4O10 for Cu Kα (λ = 1.5418 Å), from a cell relaxed with GGA-PBE.
Lines closer than 0.1° are merged.

Crystal structure
Cell lengths 15.6092, 15.6092, 15.6092 Å; angles 14.07, 14.07, 14.07 degrees
Element x y z (fractional)
Hf  0.0000  0.0000  0.0000
Pa  0.2009  0.2009  0.2009
Pa  0.3978  0.3978  0.3978
Pa  0.6022  0.6022  0.6022
Pa  0.7991  0.7991  0.7991
O  0.0458  0.0458  0.0458
O  0.1499  0.1499  0.1499
O  0.2533  0.2533  0.2533
O  0.3472  0.3472  0.3472
O  0.4485  0.4485  0.4485
O  0.5515  0.5515  0.5515
O  0.6528  0.6528  0.6528
O  0.7467  0.7467  0.7467
O  0.8501  0.8501  0.8501
O  0.9542  0.9542  0.9542

Top 10 peaks for 10° ≤ 2θ ≤ 90°, by angle:
| 2θ/deg | d/Å | I (rel.) |
| --- | --- | --- |
| 28.6 | 3.118 | 100 |
| 28.9 | 3.090 | 32 |
| 33.3 | 2.694 | 48 |
| 47.6 | 1.912 | 33 |
| 47.9 | 1.899 | 31 |
| 56.5 | 1.630 | 16 |
| 56.6 | 1.626 | 30 |
| 56.9 | 1.618 | 14 |
| 76.9 | 1.240 | 13 |
| 88.9 | 1.101 | 11 |

Record 3
Theoretical powder X-ray diffraction pattern of CaAl2AgAu for Cu Kα (λ = 1.5418 Å), from a cell relaxed with GGA-PBE.
Lines closer than 0.1° are merged.

Crystal structure
Cell lengths 6.5593, 6.5593, 6.5593 Å; angles 143.18, 141.23, 54.54 degrees
Element x y z (fractional)
Ca  0.0000  0.0000  0.0000
Al  0.3847  0.3847  0.0000
Al  0.7432  0.2432  0.5000
Ag  0.2555  0.7555  0.5000
Au  0.5986  0.5986  0.0000

Top 10 peaks for 10° ≤ 2θ ≤ 90°, by angle:
| 2θ/deg | d/Å | I (rel.) |
| --- | --- | --- |
| 15.2 | 5.830 | 44 |
| 21.8 | 4.080 | 33 |
| 22.8 | 3.904 | 74 |
| 30.8 | 2.900 | 56 |
| 33.6 | 2.669 | 100 |
| 41.5 | 2.177 | 26 |
| 43.3 | 2.091 | 49 |
| 43.7 | 2.072 | 22 |
| 44.6 | 2.032 | 24 |
| 54.4 | 1.686 | 22 |

Record 4
Theoretical powder X-ray diffraction pattern of HoCd2Hg for Cu Kα (λ = 1.5418 Å), from a cell relaxed with GGA-PBE.
Lines closer than 0.1° are merged.

Crystal structure
Cell lengths 5.0798, 5.0798, 5.0798 Å; angles 60.00, 60.00, 60.00 degrees
Element x y z (fractional)
Ho  0.0000  0.0000  0.0000
Cd  0.2500  0.2500  0.2500
Cd  0.7500  0.7500  0.7500
Hg  0.5000  0.5000  0.5000

Top 10 peaks for 10° ≤ 2θ ≤ 90°, by angle:
| 2θ/deg | d/Å | I (rel.) |
| --- | --- | --- |
| 21.4 | 4.148 | 1 |
| 24.8 | 3.592 | 6 |
| 35.3 | 2.540 | 100 |
| 43.6 | 2.074 | 2 |
| 50.8 | 1.796 | 18 |
| 57.4 | 1.606 | 3 |
| 63.4 | 1.466 | 36 |
| 74.8 | 1.270 | 11 |
| 80.2 | 1.197 | 2 |
| 85.5 | 1.136 | 16 |

Record 5
Theoretical powder X-ray diffraction pattern of Tb2Nd5Y3 for Cu Kα (λ = 1.5418 Å), from a cell relaxed with GGA-PBE.
Lines closer than 0.1° are merged.

Crystal structure
Cell lengths 9.1765, 9.1765, 10.1271 Å; angles 108.25, 108.25, 107.82 degrees
Element x y z (fractional)
Tb  0.0252  0.2773  0.0597
Tb  0.2773  0.0252  0.5597
Tb  0.7227  0.9748  0.4403
Tb  0.9748  0.7227  0.9403
Nd  0.0152  0.9848  0.7500
Nd  0.1303  0.3863  0.7637
Nd  0.2271  0.7729  0.7500
Nd  0.3863  0.1303  0.2637
Nd  0.4768  0.5232  0.2500
Nd  0.5232  0.4768  0.7500
Nd  0.6137  0.8697  0.7363
Nd  0.7729  0.2271  0.2500
Nd  0.8697  0.6137  0.2363
Nd  0.9848  0.0152  0.2500
Y  0.2191  0.4680  0.4441
Y  0.2698  0.7302  0.2500
Y  0.4680  0.2191  0.9441
Y  0.5320  0.7809  0.0559
Y  0.7302  0.2698  0.7500
Y  0.7809  0.5320  0.5559

Top 10 peaks for 10° ≤ 2θ ≤ 90°, by angle:
| 2θ/deg | d/Å | I (rel.) |
| --- | --- | --- |
| 20.7 | 4.289 | 16 |
| 29.2 | 3.060 | 86 |
| 31.1 | 2.880 | 100 |
| 31.9 | 2.805 | 16 |
| 33.1 | 2.703 | 42 |
| 33.6 | 2.668 | 17 |
| 35.5 | 2.528 | 19 |
| 48.7 | 1.870 | 20 |
| 57.9 | 1.592 | 17 |
| 62.0 | 1.496 | 25 |

Record 6
Theoretical powder X-ray diffraction pattern of Pa3CN for Cu Kα (λ = 1.5418 Å), from a cell relaxed with GGA-PBE.
Lines closer than 0.1° are merged.

Crystal structure
Cell lengths 5.7033, 5.7033, 3.1909 Å; angles 90.00, 90.00, 120.00 degrees
Element x y z (fractional)
Pa  0.0000  0.3367  0.0000
Pa  0.3367  0.0000  0.0000
Pa  0.6633  0.6633  0.0000
C  0.6667  0.3333  0.5000
N  0.3333  0.6667  0.5000

Top 10 peaks for 10° ≤ 2θ ≤ 90°, by angle:
| 2θ/deg | d/Å | I (rel.) |
| --- | --- | --- |
| 28.0 | 3.191 | 43 |
| 31.4 | 2.852 | 100 |
| 42.5 | 2.126 | 95 |
| 55.8 | 1.646 | 22 |
| 57.8 | 1.595 | 7 |
| 63.6 | 1.463 | 27 |
| 65.5 | 1.426 | 13 |
| 67.2 | 1.392 | 24 |
| 72.6 | 1.302 | 20 |
| 84.6 | 1.146 | 14 |

Record 7
Theoretical powder X-ray diffraction pattern of Zn5C7 for Cu Kα (λ = 1.5418 Å), from a cell relaxed with GGA-PBE.
Lines closer than 0.1° are merged.

Crystal structure
Cell lengths 6.0551, 6.0551, 6.0551 Å; angles 98.35, 98.35, 135.21 degrees
Element x y z (fractional)
Zn  0.0000  0.0000  0.0000
Zn  0.2613  0.2613  0.6341
Zn  0.2613  0.6272  0.0000
Zn  0.6272  0.2613  0.0000
Zn  0.6272  0.6272  0.3659
C  0.0254  0.4002  0.6252
C  0.1511  0.6511  0.5000
C  0.4002  0.0254  0.6252
C  0.4002  0.7749  0.3748
C  0.5707  0.5707  0.0000
C  0.6511  0.1511  0.5000
C  0.7749  0.4002  0.3748

Top 10 peaks for 10° ≤ 2θ ≤ 90°, by angle:
| 2θ/deg | d/Å | I (rel.) |
| --- | --- | --- |
| 15.8 | 5.598 | 25 |
| 22.3 | 3.986 | 22 |
| 31.9 | 2.809 | 92 |
| 32.0 | 2.799 | 52 |
| 39.0 | 2.307 | 37 |
| 39.3 | 2.291 | 100 |
| 45.8 | 1.983 | 27 |
| 48.8 | 1.866 | 35 |
| 64.2 | 1.451 | 30 |
| 66.8 | 1.401 | 20 |